# Rb2NaF2
Calculated X-ray powder pattern, Cu Ka. Input: a DFT-relaxed cell (GGA-PBE, Alexandria).
Neutral-atom scattering factors, no anomalous dispersion.

Crystal structure
Cell lengths 9.666, 8.544, 7.093 Å; angles 90.00, 90.15, 90.00 degrees
Space group P2_1/c (No. 14)
Inequivalent atoms, fractional coordinates:
Rb: 0.015 0.128 0.277 [4 per cell]
Rb: 0.366 0.140 0.929 [4 per cell]
Na: 0.341 0.567 0.998 [4 per cell]
F: 0.184 0.123 0.600 [4 per cell]
F: 0.476 0.072 0.296 [4 per cell]

Principal peaks in the range 5 to 70 degrees two-theta, in order of rising 2θ:
- (1 1 0), 2θ = 13.83°, I = 55
- (2 0 0), 2θ = 18.36°, I = 19
- (1 2 1), 2θ = 26.05°, I = 71
- (1 0 -2), 2θ = 26.76°, I = 42
- (3 0 0), 2θ = 27.69°, I = 27
- (2 2 -1), 2θ = 30.62°, I = 100
- (2 0 2), 2θ = 31.32°, I = 40
- (0 2 3), 2θ = 43.76°, I = 27
- (4 2 1), 2θ = 44.97°, I = 28
- (2 4 2), 2θ = 53.58°, I = 22

# Rb6NaF8
Calculated X-ray powder pattern, Cu Ka. Input: a DFT-relaxed cell (GGA-PBE, Alexandria).
Neutral-atom scattering factors, no anomalous dispersion.

Crystal structure
Cell lengths 8.1336, 8.1336, 5.8730 Å; angles 90.00, 90.00, 120.00 degrees
Space group P-31m (No. 162)
Inequivalent atoms, fractional coordinates:
Rb: 0.0000 0.3711 0.2738 [6 per cell]
Na: 0.0000 0.0000 0.0000 [1 per cell]
F: 0.0000 0.2672 0.8059 [6 per cell]
F: 0.3333 0.6667 0.5000 [2 per cell]

Principal peaks in the range 5 to 70 degrees two-theta, in order of rising 2θ:
- (1 1 0), 2θ = 21.85°, I = 39
- (2 -1 1), 2θ = 26.66°, I = 100
- (0 0 2), 2θ = 30.44°, I = 29
- (2 1 1), 2θ = 37.08°, I = 37
- (1 1 2), 2θ = 37.79°, I = 51
- (3 0 0), 2θ = 38.34°, I = 53
- (2 2 1), 2θ = 47.31°, I = 20
- (4 -1 1), 2θ = 49.15°, I = 19
- (3 0 2), 2θ = 49.72°, I = 25
- (2 -1 3), 2θ = 51.83°, I = 17

# RbNaTlF3
Calculated X-ray powder pattern, Cu Ka. Input: a DFT-relaxed cell (GGA-PBE, Alexandria).
Neutral-atom scattering factors, no anomalous dispersion.

Crystal structure
Cell lengths 7.372, 3.571, 10.243 Å; angles 90.00, 106.75, 90.00 degrees
Space group P2_1/m (No. 11)
Inequivalent atoms, fractional coordinates:
Rb: 0.180 0.250 0.176 [2 per cell]
Na: 0.331 0.750 0.908 [2 per cell]
Tl: 0.324 0.250 0.593 [2 per cell]
F: 0.126 0.250 0.889 [2 per cell]
F: 0.340 0.750 0.412 [2 per cell]
F: 0.477 0.750 0.139 [2 per cell]

Principal peaks in the range 5 to 70 degrees two-theta, in order of rising 2θ:
- (0 0 1), 2θ = 9.02°, I = 100
- (1 0 1), 2θ = 17.47°, I = 44
- (2 0 -1), 2θ = 24.21°, I = 62
- (1 0 2), 2θ = 24.91°, I = 72
- (1 0 -3), 2θ = 26.54°, I = 83
- (1 1 0), 2θ = 28.00°, I = 98
- (1 1 -1), 2θ = 28.30°, I = 69
- (0 1 2), 2θ = 30.97°, I = 92
- (0 0 4), 2θ = 36.63°, I = 46
- (0 1 3), 2θ = 37.29°, I = 52

# Na5RhF8
Calculated X-ray powder pattern, Cu Ka. Input: a DFT-relaxed cell (GGA-PBE, Alexandria).
Neutral-atom scattering factors, no anomalous dispersion.

Crystal structure
Cell lengths 9.512, 9.512, 9.512 Å; angles 90.00, 90.00, 90.00 degrees
Space group F-43m (No. 216)
Inequivalent atoms, fractional coordinates:
Na: 0.000 0.000 0.000 [4 per cell]
Na: 0.133 0.133 0.367 [16 per cell]
Rh: 0.250 0.250 0.750 [4 per cell]
F: 0.127 0.127 0.627 [16 per cell]
F: 0.133 0.133 0.133 [16 per cell]

Principal peaks in the range 5 to 70 degrees two-theta, in order of rising 2θ:
- (1 1 1), 2θ = 16.14°, I = 30
- (2 0 0), 2θ = 18.66°, I = 42
- (2 2 0), 2θ = 26.50°, I = 61
- (3 1 1), 2θ = 31.19°, I = 100
- (2 2 2), 2θ = 32.61°, I = 14
- (3 3 1), 2θ = 41.38°, I = 16
- (4 2 2), 2θ = 46.79°, I = 24
- (5 1 1), 2θ = 49.81°, I = 40
- (4 4 0), 2θ = 54.58°, I = 57
- (5 3 3), 2θ = 64.21°, I = 11

# NaSF5
Calculated X-ray powder pattern, Cu Ka. Input: a DFT-relaxed cell (GGA-PBE, Alexandria).
Neutral-atom scattering factors, no anomalous dispersion.

Crystal structure
Cell lengths 4.696, 8.089, 6.620 Å; angles 90.00, 90.00, 90.00 degrees
Space group Imm2 (No. 44)
Inequivalent atoms, fractional coordinates:
Na: 0.000 0.000 0.000 [2 per cell]
S: 0.000 0.500 0.054 [2 per cell]
F: 0.000 0.285 0.044 [4 per cell]
F: 0.000 0.500 0.426 [2 per cell]
F: 0.249 0.500 0.891 [4 per cell]

Principal peaks in the range 5 to 70 degrees two-theta, in order of rising 2θ:
- (0 1 1), 2θ = 17.31°, I = 28
- (0 2 0), 2θ = 21.95°, I = 83
- (1 0 1), 2θ = 23.22°, I = 100
- (0 0 2), 2θ = 26.93°, I = 54
- (0 2 2), 2θ = 35.02°, I = 25
- (2 1 1), 2θ = 42.34°, I = 17
- (0 4 0), 2θ = 44.82°, I = 21
- (1 0 3), 2θ = 45.41°, I = 20
- (2 0 2), 2θ = 47.48°, I = 21
- (1 4 1), 2θ = 51.06°, I = 15

# Na6S2F
Calculated X-ray powder pattern, Cu Ka. Input: a DFT-relaxed cell (GGA-PBE, Alexandria).
Neutral-atom scattering factors, no anomalous dispersion.

Crystal structure
Cell lengths 4.006, 12.354, 7.877 Å; angles 90.00, 90.00, 90.00 degrees
Space group Amm2 (No. 38)
Inequivalent atoms, fractional coordinates:
Na: 0.000 0.000 0.000 [2 per cell]
Na: 0.000 0.116 0.583 [4 per cell]
Na: 0.500 0.000 0.287 [2 per cell]
Na: 0.500 0.217 0.933 [4 per cell]
S: 0.000 0.176 0.225 [4 per cell]
F: 0.500 0.000 0.567 [2 per cell]

Principal peaks in the range 5 to 70 degrees two-theta, in order of rising 2θ:
- (0 1 1), 2θ = 13.33°, I = 31
- (1 0 2), 2θ = 31.87°, I = 42
- (1 3 1), 2θ = 33.21°, I = 100
- (0 1 3), 2θ = 34.94°, I = 39
- (1 2 2), 2θ = 35.10°, I = 78
- (1 4 0), 2θ = 36.74°, I = 38
- (0 5 1), 2θ = 38.17°, I = 28
- (1 5 1), 2θ = 44.60°, I = 23
- (2 0 0), 2θ = 45.28°, I = 38
- (1 3 3), 2θ = 46.89°, I = 30

# Na3SF6
Calculated X-ray powder pattern, Cu Ka. Input: a DFT-relaxed cell (GGA-PBE, Alexandria).
Neutral-atom scattering factors, no anomalous dispersion.

Crystal structure
Cell lengths 7.236, 7.869, 10.731 Å; angles 90.00, 90.00, 90.00 degrees
Space group Fmmm (No. 69)
Inequivalent atoms, fractional coordinates:
Na: 0.000 0.000 0.000 [4 per cell]
Na: 0.250 0.250 0.250 [8 per cell]
S: 0.000 0.000 0.500 [4 per cell]
F: 0.000 0.226 0.500 [8 per cell]
F: 0.240 0.000 0.374 [16 per cell]

Principal peaks in the range 5 to 70 degrees two-theta, in order of rising 2θ:
- (0 0 2), 2θ = 16.52°, I = 26
- (0 2 0), 2θ = 22.60°, I = 13
- (0 2 2), 2θ = 28.13°, I = 24
- (2 0 2), 2θ = 29.78°, I = 100
- (0 2 4), 2θ = 40.71°, I = 21
- (2 0 4), 2θ = 41.92°, I = 26
- (0 4 0), 2θ = 46.14°, I = 28
- (2 2 4), 2θ = 48.15°, I = 46
- (4 0 0), 2θ = 50.45°, I = 22
- (2 4 2), 2θ = 55.90°, I = 26

# Na2Sb2F7
Calculated X-ray powder pattern, Cu Ka. Input: a DFT-relaxed cell (GGA-PBE, Alexandria).
Neutral-atom scattering factors, no anomalous dispersion.

Crystal structure
Cell lengths 10.176, 8.831, 9.972 Å; angles 90.00, 113.15, 90.00 degrees
Space group C2/c (No. 15)
Inequivalent atoms, fractional coordinates:
Na: 0.127 0.094 0.432 [8 per cell]
Sb: 0.205 0.261 0.824 [8 per cell]
F: 0.000 0.100 0.750 [4 per cell]
F: 0.099 0.134 0.094 [8 per cell]
F: 0.210 0.445 0.118 [8 per cell]
F: 0.241 0.287 0.351 [8 per cell]

Principal peaks in the range 5 to 70 degrees two-theta, in order of rising 2θ:
- (1 1 -1), 2θ = 14.55°, I = 99
- (2 0 0), 2θ = 18.97°, I = 100
- (0 0 2), 2θ = 19.36°, I = 23
- (0 2 0), 2θ = 20.11°, I = 67
- (2 2 0), 2θ = 27.78°, I = 55
- (0 2 2), 2θ = 28.06°, I = 31
- (3 1 -1), 2θ = 28.22°, I = 34
- (1 1 -3), 2θ = 28.76°, I = 85
- (2 0 2), 2θ = 32.24°, I = 35
- (2 2 2), 2θ = 38.31°, I = 30